Diffraction record for Li5Fe2P2C2O14. The PXRD pattern is theoretical, not measured: it uses DFT lattice parameters and positions (GGA+U) and Cu Kα (λ = 1.5418 Å).
No peak broadening, texture or thermal motion is included.

Largest 12 diffraction maxima, by angle, 2θ = 10–80°:
Position (°2θ)  d_spacing  I_rel
10.47  8.448  100
17.30  5.126  34
19.68  4.511  31
21.43  4.147  46
22.44  3.963  19
25.54  3.488  21
26.23  3.397  38
27.67  3.224  86
35.01  2.563  19
36.33  2.473  24
40.68  2.218  21
57.13  1.612  17

Cell: 5.046 6.448 8.487 Å, 90.00 95.49 90.00°
Space group Pm (No. 6)
One atom of each set of equivalent atoms:
Li 0.000 0.000 0.000 [1 per cell]
Li 0.478 0.236 0.844 [2 per cell]
Li 0.967 0.258 0.348 [2 per cell]
Fe 0.007 0.500 0.760 [1 per cell]
Fe 0.429 0.000 0.439 [1 per cell]
P 0.475 0.500 0.518 [1 per cell]
P 0.934 0.000 0.685 [1 per cell]
C 0.530 0.000 0.140 [1 per cell]
C 0.938 0.500 0.049 [1 per cell]
O 0.031 0.000 0.520 [1 per cell]
O 0.046 0.188 0.789 [2 per cell]
O 0.173 0.500 0.997 [1 per cell]
O 0.284 0.000 0.170 [1 per cell]
O 0.373 0.308 0.425 [2 per cell]
O 0.374 0.500 0.687 [1 per cell]
O 0.597 0.000 0.996 [1 per cell]
O 0.626 0.000 0.677 [1 per cell]
O 0.716 0.000 0.258 [1 per cell]
O 0.740 0.500 0.932 [1 per cell]
O 0.788 0.500 0.548 [1 per cell]
O 0.896 0.500 0.193 [1 per cell]